Entry 1:
This entry pairs a crystal structure of CeZnNiH6 with its calculated X-ray powder pattern. Radiation: copper Kα. Structure: a crystal structure in Alexandria, relaxed with PBE.
Lines closer than 0.1° are merged.

Cell lengths 4.4064, 4.4064, 4.4029 Å; angles 90.00, 90.00, 120.00 degrees
Space group P-6m2 (No. 187)
Unique sites:
Ce1 0.0000 0.0000 0.0000
Zn1 0.6667 0.3333 0.5000
Ni1 0.3333 0.6667 0.5000
H1 0.0240 0.5120 0.2237

Most intense lines, 10° ≤ 2θ ≤ 90°, sorted by position:
| h k l | d [Å] | intensity |
| --- | --- | --- |
| 1 0 0 | 3.816 | 11 |
| 1 0 1 | 2.884 | 100 |
| 1 1 0 | 2.203 | 54 |
| 2 0 0 | 1.907 | 6 |
| 2 0 1 | 1.751 | 23 |
| 1 1 2 | 1.557 | 27 |
| 1 0 3 | 1.370 | 30 |
| 3 0 0 | 1.272 | 7 |
| 2 0 3 | 1.163 | 6 |
| 2 2 0 | 1.101 | 14 |



Entry 2:
This entry pairs a crystal structure of Sc2HCl with its calculated X-ray powder pattern. Radiation: copper Kα. Structure: a crystal structure in Alexandria, relaxed with PBE.
Lines closer than 0.1° are merged.

Cell lengths 3.4136, 8.5130, 4.6668 Å; angles 90.00, 90.00, 90.00 degrees
Space group Pmn2_1 (No. 31)
Unique sites:
Sc1 0.0000 0.0714 0.0000
Sc2 0.0000 0.7121 0.0394
H1 0.0000 0.8769 0.7387
Cl1 0.0000 0.3898 0.9499

Most intense lines, 10° ≤ 2θ ≤ 90°, sorted by position:
| h k l | d [Å] | intensity |
| --- | --- | --- |
| 0 3 0 | 2.838 | 11 |
| 1 0 1 | 2.755 | 100 |
| 0 3 1 | 2.425 | 51 |
| 0 0 2 | 2.333 | 25 |
| 1 3 0 | 2.182 | 37 |
| 1 3 1 | 1.977 | 14 |
| 2 0 0 | 1.707 | 11 |
| 1 3 2 | 1.594 | 21 |
| 2 3 1 | 1.396 | 16 |
| 2 0 2 | 1.378 | 8 |



Entry 3:
This entry pairs a crystal structure of Hf2In3 with its calculated X-ray powder pattern. Radiation: copper Kα. Structure: a crystal structure in Alexandria, relaxed with PBE.
Lines closer than 0.1° are merged.

Cell lengths 6.9872, 6.9872, 4.5050 Å; angles 90.00, 90.00, 90.00 degrees
Space group P4/m (No. 83)
Unique sites:
Hf1 0.1192 0.6983 0.0000
In1 0.0000 0.0000 0.5000
In2 0.1862 0.3954 0.5000
In3 0.5000 0.5000 0.0000

Most intense lines, 10° ≤ 2θ ≤ 90°, sorted by position:
| h k l | d [Å] | intensity |
| --- | --- | --- |
| 0 0 1 | 4.505 | 3 |
| 1 2 1 | 2.568 | 100 |
| 0 0 2 | 2.252 | 17 |
| 3 1 0 | 2.210 | 31 |
| 3 1 2 | 1.577 | 21 |
| 2 4 0 | 1.562 | 10 |
| 1 2 3 | 1.353 | 14 |
| 5 0 1 | 1.335 | 23 |
| 2 4 2 | 1.284 | 10 |
| 6 2 0 | 1.105 | 3 |